No. 1
For Au2Se4O11, the PBE geometry in OQMD gives the computed X-ray diffraction stick pattern in this record (Cu Kα (weighted mean of Kα1 and Kα2)).

Atomic structure:
abc: 10.429 10.429 13.088
angles: 115.47 115.47 22.60
Element x y z (fractional)
Au1 0.000 0.000 0.000
Au2 0.000 0.000 0.500
Au3 0.000 0.500 0.000
Au4 0.500 0.000 0.500
Se1 0.066 0.596 0.403
Se2 0.179 0.666 0.744
Se3 0.334 0.821 0.756
Se4 0.404 0.934 0.097
Se5 0.596 0.066 0.903
Se6 0.666 0.179 0.244
Se7 0.821 0.334 0.256
Se8 0.934 0.404 0.597
O1 0.004 0.996 0.750
O2 0.084 0.180 0.759
O3 0.087 0.110 0.002
O4 0.110 0.087 0.502
O5 0.180 0.084 0.259
O6 0.182 0.295 0.136
O7 0.229 0.419 0.521
O8 0.295 0.182 0.636
O9 0.343 0.588 0.888
O10 0.412 0.657 0.612
O11 0.419 0.229 0.021
O12 0.581 0.771 0.979
O13 0.588 0.343 0.388
O14 0.657 0.412 0.112
O15 0.705 0.818 0.364
O16 0.771 0.581 0.479
O17 0.818 0.705 0.864
O18 0.820 0.916 0.741
O19 0.890 0.913 0.498
O20 0.913 0.890 0.998
O21 0.916 0.820 0.241
O22 0.996 0.004 0.250

Peak list (10 most intense, 10° ≤ 2θ ≤ 90°, low angle first)
5.881 Å, 15.1°, I = 65
4.778 Å, 18.6°, I = 36
3.989 Å, 22.3°, I = 32
3.501 Å, 25.4°, I = 42
3.033 Å, 29.5°, I = 40
2.942 Å, 30.4°, I = 100
2.877 Å, 31.1°, I = 62
2.553 Å, 35.2°, I = 38
2.039 Å, 44.4°, I = 28
1.947 Å, 46.7°, I = 28


No. 2
For Au2Se3O10, the PBE geometry in OQMD gives the computed X-ray diffraction stick pattern in this record (Cu Kα (weighted mean of Kα1 and Kα2)).

Atomic structure:
abc: 8.934 8.934 8.228
angles: 90.00 90.00 41.45
Element x y z (fractional)
Au1 0.133 0.187 0.000
Au2 0.187 0.133 0.500
Au3 0.813 0.867 0.000
Au4 0.867 0.813 0.500
Se1 0.149 0.851 0.845
Se2 0.306 0.378 0.124
Se3 0.378 0.306 0.624
Se4 0.622 0.694 0.124
Se5 0.694 0.622 0.624
Se6 0.851 0.149 0.345
O1 0.053 0.106 0.817
O2 0.106 0.053 0.317
O3 0.116 0.545 0.963
O4 0.191 0.508 0.476
O5 0.218 0.264 0.183
O6 0.242 0.758 0.031
O7 0.264 0.218 0.683
O8 0.312 0.688 0.691
O9 0.455 0.884 0.963
O10 0.492 0.809 0.476
O11 0.508 0.191 0.976
O12 0.545 0.116 0.463
O13 0.688 0.312 0.191
O14 0.736 0.782 0.183
O15 0.758 0.242 0.531
O16 0.782 0.736 0.683
O17 0.809 0.492 0.976
O18 0.884 0.455 0.463
O19 0.894 0.947 0.817
O20 0.947 0.894 0.317

Peak list (10 most intense, 10° ≤ 2θ ≤ 90°, low angle first)
8.356 Å, 10.6°, I = 36
5.914 Å, 15.0°, I = 42
4.179 Å, 21.3°, I = 36
4.114 Å, 21.6°, I = 44
3.691 Å, 24.1°, I = 29
3.377 Å, 26.4°, I = 34
3.162 Å, 28.2°, I = 34
2.932 Å, 30.5°, I = 100
2.785 Å, 32.1°, I = 53
1.846 Å, 49.4°, I = 43


No. 3
For Au2Se2O7, the PBE geometry in OQMD gives the computed X-ray diffraction stick pattern in this record (Cu Kα (weighted mean of Kα1 and Kα2)).

Atomic structure:
abc: 6.737 11.672 3.942
angles: 90.00 90.00 90.00
Element x y z (fractional)
Au1 0.194 0.066 0.000
Au2 0.306 0.566 0.000
Au3 0.694 0.434 0.000
Au4 0.806 0.934 0.000
Se1 0.115 0.326 0.727
Se2 0.385 0.826 0.727
Se3 0.615 0.174 0.727
Se4 0.885 0.674 0.727
O1 0.000 0.000 0.330
O2 0.033 0.213 0.990
O3 0.123 0.628 0.622
O4 0.161 0.417 0.070
O5 0.339 0.917 0.070
O6 0.377 0.128 0.622
O7 0.467 0.713 0.990
O8 0.500 0.500 0.330
O9 0.533 0.287 0.990
O10 0.623 0.872 0.622
O11 0.661 0.083 0.070
O12 0.839 0.583 0.070
O13 0.877 0.372 0.622
O14 0.967 0.787 0.990

Peak list (10 most intense, 10° ≤ 2θ ≤ 90°, low angle first)
5.836 Å, 15.2°, I = 48
4.411 Å, 20.1°, I = 47
3.942 Å, 22.6°, I = 100
3.369 Å, 26.5°, I = 44
3.267 Å, 27.3°, I = 84
3.237 Å, 27.6°, I = 40
2.939 Å, 30.4°, I = 65
2.678 Å, 33.5°, I = 76
2.561 Å, 35.0°, I = 40
2.215 Å, 40.7°, I = 56


No. 4
For TlAuSeO, the PBE geometry in OQMD gives the computed X-ray diffraction stick pattern in this record (Cu Kα (weighted mean of Kα1 and Kα2)).

Atomic structure:
abc: 5.821 5.914 10.631
angles: 90.00 99.72 90.00
Element x y z (fractional)
Tl1 0.033 0.000 0.100
Tl2 0.461 0.996 0.900
Tl3 0.539 0.496 0.100
Tl4 0.967 0.500 0.900
Au1 0.169 0.586 0.331
Au2 0.197 0.956 0.512
Au3 0.803 0.456 0.488
Au4 0.831 0.086 0.669
Se1 0.111 0.405 0.681
Se2 0.482 0.319 0.323
Se3 0.518 0.819 0.677
Se4 0.889 0.905 0.319
O1 0.249 0.235 0.000
O2 0.253 0.745 0.005
O3 0.747 0.245 0.995
O4 0.751 0.735 0.000

Peak list (10 most intense, 10° ≤ 2θ ≤ 90°, low angle first)
4.001 Å, 22.2°, I = 42
3.684 Å, 24.2°, I = 16
3.062 Å, 29.2°, I = 100
2.957 Å, 30.2°, I = 34
2.894 Å, 30.9°, I = 29
2.839 Å, 31.5°, I = 91
2.097 Å, 43.1°, I = 37
2.068 Å, 43.8°, I = 31
1.789 Å, 51.1°, I = 17
1.746 Å, 52.4°, I = 19


No. 5
For TmAuSeO, the PBE geometry in OQMD gives the computed X-ray diffraction stick pattern in this record (Cu Kα (weighted mean of Kα1 and Kα2)).

Atomic structure:
abc: 9.606 3.925 3.925
angles: 89.88 90.00 90.00
Element x y z (fractional)
Tm1 0.111 0.250 0.750
Tm2 0.889 0.750 0.250
Au1 0.500 0.001 0.001
Au2 0.500 0.501 0.501
Se1 0.276 0.751 0.251
Se2 0.724 0.251 0.751
O1 0.000 0.250 0.250
O2 0.000 0.750 0.750

Peak list (10 most intense, 10° ≤ 2θ ≤ 90°, low angle first)
4.803 Å, 18.5°, I = 53
3.202 Å, 27.9°, I = 35
3.039 Å, 29.4°, I = 90
2.778 Å, 32.2°, I = 89
2.664 Å, 33.6°, I = 85
2.481 Å, 36.2°, I = 66
2.402 Å, 37.4°, I = 61
2.098 Å, 43.1°, I = 38
1.922 Å, 47.3°, I = 100
1.816 Å, 50.2°, I = 58


No. 6
For TmAuSeO, the PBE geometry in OQMD gives the computed X-ray diffraction stick pattern in this record (Cu Kα (weighted mean of Kα1 and Kα2)).

Atomic structure:
abc: 5.526 9.555 5.562
angles: 90.00 90.00 90.00
Element x y z (fractional)
Tm1 0.000 0.112 0.250
Tm2 0.000 0.888 0.750
Tm3 0.500 0.112 0.750
Tm4 0.500 0.888 0.250
Au1 0.250 0.500 0.208
Au2 0.250 0.500 0.708
Au3 0.750 0.500 0.292
Au4 0.750 0.500 0.792
Se1 0.000 0.275 0.750
Se2 0.000 0.725 0.250
Se3 0.500 0.275 0.250
Se4 0.500 0.725 0.750
O1 0.250 0.000 0.001
O2 0.250 0.000 0.501
O3 0.750 0.000 0.499
O4 0.750 0.000 0.999

Peak list (10 most intense, 10° ≤ 2θ ≤ 90°, low angle first)
4.777 Å, 18.6°, I = 57
3.185 Å, 28.0°, I = 41
3.031 Å, 29.5°, I = 100
2.781 Å, 32.2°, I = 89
2.654 Å, 33.8°, I = 85
2.472 Å, 36.3°, I = 74
2.392 Å, 37.6°, I = 55
1.920 Å, 47.3°, I = 69
1.575 Å, 58.6°, I = 32
1.237 Å, 77.1°, I = 30


No. 7
For TmAuSeO, the PBE geometry in OQMD gives the computed X-ray diffraction stick pattern in this record (Cu Kα (weighted mean of Kα1 and Kα2)).

Atomic structure:
abc: 19.173 3.926 3.926
angles: 89.88 90.00 90.00
Element x y z (fractional)
Tm1 0.056 0.250 0.750
Tm2 0.444 0.750 0.250
Tm3 0.556 0.250 0.750
Tm4 0.944 0.750 0.250
Au1 0.250 0.005 0.001
Au2 0.250 0.505 0.501
Au3 0.750 0.001 0.005
Au4 0.750 0.501 0.505
Se1 0.138 0.752 0.249
Se2 0.362 0.252 0.749
Se3 0.638 0.749 0.252
Se4 0.862 0.249 0.752
O1 0.000 0.250 0.250
O2 0.000 0.750 0.750
O3 0.500 0.250 0.250
O4 0.500 0.750 0.750

Peak list (10 most intense, 10° ≤ 2θ ≤ 90°, low angle first)
4.793 Å, 18.5°, I = 58
3.195 Å, 27.9°, I = 40
3.037 Å, 29.4°, I = 100
2.779 Å, 32.2°, I = 100
2.665 Å, 33.6°, I = 95
2.478 Å, 36.2°, I = 73
2.401 Å, 37.5°, I = 63
2.097 Å, 43.1°, I = 42
1.923 Å, 47.3°, I = 82
1.815 Å, 50.3°, I = 66


No. 8
For YAuSeO, the PBE geometry in OQMD gives the computed X-ray diffraction stick pattern in this record (Cu Kα (weighted mean of Kα1 and Kα2)).

Atomic structure:
abc: 9.598 3.986 3.986
angles: 89.86 90.00 90.00
Element x y z (fractional)
Y1 0.115 0.250 0.750
Y2 0.885 0.750 0.250
Au1 0.500 0.001 0.001
Au2 0.500 0.501 0.501
Se1 0.279 0.751 0.251
Se2 0.721 0.251 0.751
O1 0.000 0.250 0.250
O2 0.000 0.750 0.750

Peak list (10 most intense, 10° ≤ 2θ ≤ 90°, low angle first)
4.799 Å, 18.5°, I = 58
3.199 Å, 27.9°, I = 34
3.066 Å, 29.1°, I = 49
2.822 Å, 31.7°, I = 87
2.703 Å, 33.1°, I = 100
2.495 Å, 36.0°, I = 41
2.429 Å, 37.0°, I = 84
2.115 Å, 42.8°, I = 49
1.951 Å, 46.5°, I = 69
1.840 Å, 49.5°, I = 49


No. 9
For TlSiAuO3, the PBE geometry in OQMD gives the computed X-ray diffraction stick pattern in this record (Cu Kα (weighted mean of Kα1 and Kα2)).

Atomic structure:
abc: 11.549 2.876 10.240
angles: 90.00 90.00 90.00
Element x y z (fractional)
Tl1 0.237 0.250 0.127
Tl2 0.263 0.750 0.627
Tl3 0.737 0.250 0.373
Tl4 0.763 0.750 0.873
Si1 0.026 0.250 0.382
Si2 0.474 0.750 0.882
Si3 0.526 0.250 0.118
Si4 0.974 0.750 0.618
Au1 0.031 0.250 0.902
Au2 0.469 0.750 0.402
Au3 0.531 0.250 0.598
Au4 0.969 0.750 0.098
O1 0.072 0.750 0.751
O2 0.073 0.250 0.546
O3 0.107 0.750 0.333
O4 0.393 0.250 0.833
O5 0.427 0.750 0.046
O6 0.428 0.250 0.251
O7 0.572 0.750 0.749
O8 0.573 0.250 0.954
O9 0.607 0.750 0.167
O10 0.893 0.250 0.667
O11 0.927 0.750 0.454
O12 0.928 0.250 0.249

Peak list (10 most intense, 10° ≤ 2θ ≤ 90°, low angle first)
7.662 Å, 11.5°, I = 100
4.681 Å, 19.0°, I = 54
3.077 Å, 29.0°, I = 84
2.887 Å, 31.0°, I = 38
2.693 Å, 33.3°, I = 32
2.560 Å, 35.1°, I = 35
2.497 Å, 36.0°, I = 49
2.450 Å, 36.7°, I = 28
2.101 Å, 43.1°, I = 32
2.055 Å, 44.1°, I = 52


No. 10
For Sm4Au2O9, the PBE geometry in OQMD gives the computed X-ray diffraction stick pattern in this record (Cu Kα (weighted mean of Kα1 and Kα2)).

Atomic structure:
abc: 11.845 6.013 11.856
angles: 90.00 90.00 90.00
Element x y z (fractional)
Sm1 0.012 0.242 0.090
Sm2 0.012 0.758 0.590
Sm3 0.158 0.199 0.764
Sm4 0.158 0.801 0.264
Sm5 0.342 0.301 0.264
Sm6 0.342 0.699 0.764
Sm7 0.488 0.258 0.590
Sm8 0.488 0.742 0.090
Sm9 0.512 0.258 0.910
Sm10 0.512 0.742 0.410
Sm11 0.658 0.301 0.236
Sm12 0.658 0.699 0.736
Sm13 0.842 0.199 0.736
Sm14 0.842 0.801 0.236
Sm15 0.988 0.242 0.410
Sm16 0.988 0.758 0.910
Au1 0.228 0.418 0.511
Au2 0.228 0.582 0.011
Au3 0.272 0.082 0.011
Au4 0.272 0.918 0.511
Au5 0.728 0.082 0.489
Au6 0.728 0.918 0.989
Au7 0.772 0.418 0.989
Au8 0.772 0.582 0.489
O1 0.000 0.024 0.250
O2 0.000 0.976 0.750
O3 0.074 0.384 0.590
O4 0.074 0.616 0.090
O5 0.114 0.063 0.945
O6 0.114 0.937 0.445
O7 0.162 0.436 0.350
O8 0.162 0.564 0.850
O9 0.197 0.128 0.160
O10 0.197 0.872 0.660
O11 0.303 0.372 0.660
O12 0.303 0.628 0.160
O13 0.338 0.064 0.850
O14 0.338 0.936 0.350
O15 0.386 0.437 0.445
O16 0.386 0.563 0.945
O17 0.426 0.116 0.090
O18 0.426 0.884 0.590
O19 0.500 0.476 0.750
O20 0.500 0.524 0.250
O21 0.574 0.116 0.410
O22 0.574 0.884 0.910
O23 0.614 0.437 0.055
O24 0.614 0.563 0.555
O25 0.662 0.064 0.650
O26 0.662 0.936 0.150
O27 0.697 0.372 0.840
O28 0.697 0.628 0.340
O29 0.803 0.128 0.340
O30 0.803 0.872 0.840
O31 0.838 0.436 0.150
O32 0.838 0.564 0.650
O33 0.886 0.063 0.555
O34 0.886 0.937 0.055
O35 0.926 0.384 0.910
O36 0.926 0.616 0.410

Peak list (10 most intense, 10° ≤ 2θ ≤ 90°, low angle first)
5.926 Å, 15.0°, I = 27
3.180 Å, 28.1°, I = 100
2.963 Å, 30.2°, I = 20
2.830 Å, 31.6°, I = 36
2.681 Å, 33.4°, I = 23
2.650 Å, 33.8°, I = 70
2.443 Å, 36.8°, I = 26
1.925 Å, 47.2°, I = 20
1.874 Å, 48.6°, I = 22
1.768 Å, 51.7°, I = 20